The following is a calculated powder X-ray diffraction pattern of SrSb2Te. It was derived from a PBE-relaxed structure, using Cu Ka.

Top 8 peaks for 15° ≤ 2θ ≤ 90°, low angle first:
- 26.6°, I 54.6
- 27.2°, I 100.0
- 29.5°, I 11.4
- 37.0°, I 31.0
- 37.5°, I 14.0
- 39.7°, I 41.0
- 40.2°, I 20.0
- 48.8°, I 29.8

Atomic structure:
Unit cell a=4.8192 b=4.4892 c=6.7432 alpha=90.00 beta=95.60 gamma=90.00
Space group Pm (No. 6)
One atom of each set of equivalent atoms:
Sr: 0.0000 0.0000 0.0000
Sb: 0.0429 0.0000 0.4975
Sb: 0.6431 0.5000 0.4432
Te: 0.5068 0.5000 0.0055